Entry 1:
Starting from the PBE geometry in Alexandria, the powder diffraction line list of NpU2F8 was computed for Cu Kα.
Intensities are scaled so that the largest is 1000.

Crystal structure
```
data_NpU2F8
_chemical_formula_sum 'Np2 U4 F16'
_cell_length_a 3.9492
_cell_length_b 6.9172
_cell_length_c 11.0478
_cell_angle_alpha 90.00
_cell_angle_beta 90.00
_cell_angle_gamma 90.00
_space_group_name_H-M_alt 'I m m m'
_space_group_IT_number 71
_space_group_name_Hall '-I 2 2'
loop_
_atom_site_label
_atom_site_type_symbol
_atom_site_fract_x
_atom_site_fract_y
_atom_site_fract_z
Np1 Np 0.0000 0.0000 0.0000
U1 U 0.0000 0.0000 0.3110
F1 F 0.0000 0.1825 0.5000
F2 F 0.0000 0.2847 0.1603
F3 F 0.0000 0.5000 0.3565
```

Top 10 peaks for 15 to 90 degrees two-theta, low angle first:
index  2θ/deg  intensity
0 2 0  25.76  480
1 1 0  25.98  1000
0 1 3  27.44  786
1 0 3  33.27  412
1 2 3  42.54  802
1 3 0  45.56  241
2 0 0  45.96  187
0 3 3  46.47  192
2 1 3  54.36  254
1 4 3  63.97  193


Entry 2:
Starting from the PBE geometry in Alexandria, the powder diffraction line list of Zr2GaC was computed for Cu Kα.
Intensities are scaled so that the largest is 1000.

Crystal structure
```
data_Zr2GaC
_chemical_formula_sum 'Zr8 Ga4 C4'
_cell_length_a 3.4982
_cell_length_b 20.4373
_cell_length_c 3.6858
_cell_angle_alpha 90.00
_cell_angle_beta 90.00
_cell_angle_gamma 90.00
_space_group_name_H-M_alt 'C m c m'
_space_group_IT_number 63
_space_group_name_Hall '-C 2c 2'
loop_
_atom_site_label
_atom_site_type_symbol
_atom_site_fract_x
_atom_site_fract_y
_atom_site_fract_z
Zr1 Zr 0.0000 0.0879 0.2500
Zr2 Zr 0.0000 0.3038 0.2500
Ga1 Ga 0.0000 0.4597 0.2500
C1 C 0.0000 0.1951 0.2500
```

Top 10 peaks for 15 to 90 degrees two-theta, low angle first:
index  2θ/deg  intensity
0 4 1  29.89  254
1 5 0  33.72  775
0 8 0  35.13  226
1 1 1  35.66  1000
0 6 1  35.90  482
1 3 1  37.84  247
0 0 2  49.46  255
2 0 0  52.30  215
1 5 2  61.20  271
1 13 0  65.06  301


Entry 3:
Starting from the PBE geometry in Alexandria, the powder diffraction line list of Nd2Dy7Ho was computed for Cu Kα.
Intensities are scaled so that the largest is 1000.

Crystal structure
```
data_Nd2Dy7Ho
_chemical_formula_sum 'Nd2 Dy7 Ho1'
_cell_length_a 6.1762
_cell_length_b 6.1785
_cell_length_c 9.4357
_cell_angle_alpha 102.62
_cell_angle_beta 109.07
_cell_angle_gamma 99.56
_space_group_name_H-M_alt 'P -1'
_space_group_IT_number 2
loop_
_space_group_symop_operation_xyz
'x,y,z'
'-x,-y,-z'
loop_
_atom_site_label
_atom_site_type_symbol
_atom_site_fract_x
_atom_site_fract_y
_atom_site_fract_z
Nd1 Nd 0.1005 0.0011 0.2010
Dy1 Dy 0.1010 0.5001 0.6993
Dy2 Dy 0.2995 0.0000 0.5991
Dy3 Dy 0.3014 0.5018 0.1006
Dy4 Dy 0.5000 0.0000 0.0000
Ho1 Ho 0.5000 0.5000 0.5000
```

Top 9 peaks for 15 to 90 degrees two-theta, low angle first:
index  2θ/deg  intensity
1 0 2  30.70  1000
2 1 -1  35.60  506
1 2 2  51.22  361
3 1 1  60.91  429
2 0 4  63.93  124
4 2 -2  75.37  57
2 2 4  83.54  178
5 0 0  86.21  83
5 1 -5  86.25  83


Entry 4:
Starting from the PBE geometry in Alexandria, the powder diffraction line list of Pa2Be16Pd was computed for Cu Kα.
Intensities are scaled so that the largest is 1000.

Crystal structure
```
data_Pa2Be16Pd
_chemical_formula_sum 'Pa6 Be48 Pd3'
_cell_length_a 7.8532
_cell_length_b 7.8532
_cell_length_c 11.4764
_cell_angle_alpha 90.00
_cell_angle_beta 90.00
_cell_angle_gamma 120.00
_space_group_name_H-M_alt 'R 3 m'
_space_group_IT_number 160
_space_group_name_Hall 'R 3 -2"'
loop_
_atom_site_label
_atom_site_type_symbol
_atom_site_fract_x
_atom_site_fract_y
_atom_site_fract_z
Pa1 Pa 0.0000 0.0000 0.0000
Pa2 Pa 0.0000 0.0000 0.3108
Be1 Be 0.0000 0.0000 0.7616
Be2 Be 0.9999 0.2792 0.6552
Be3 Be 0.0051 0.5025 0.4957
Be4 Be 0.1670 0.3340 0.1482
Be5 Be 0.1700 0.3399 0.4893
Pd1 Pd 0.0000 0.0000 0.5581
```

Top 10 peaks for 15 to 90 degrees two-theta, low angle first:
index  2θ/deg  intensity
1 0 1  15.14  214
1 1 0  22.65  1000
0 0 3  23.25  180
1 1 3  32.68  519
1 0 4  33.91  221
3 0 0  39.76  279
2 2 0  46.24  204
3 0 3  46.57  235
2 1 4  47.50  214
2 1 7  67.75  215